1.
Diffraction record for PaPb2O6. The powder diffractogram is simulated, not measured: it uses a structure optimized by DFT (PBE) and Cu Kα (λ = 1.5418 Å).

Main lines, most intense first (10° ≤ 2θ ≤ 90°):
Position (°2θ), Rel. int.
26.67, 100
30.14, 35
51.44, 34
44.79, 23
43.14, 14
54.94, 13
85.26, 9
80.27, 9
32.35, 8
54.32, 8

```
PaPb2O6
1.0
-2.097 2.097 8.303
2.097 -2.097 8.303
2.097 2.097 -8.303
Pa Pb O
1 2 6
Direct
0.000 0.000 0.000
0.316 0.316 0.000
0.684 0.684 0.000
0.176 0.176 0.517
0.250 0.750 0.500
0.340 0.824 0.000
0.660 0.660 0.483
0.750 0.250 0.500
0.824 0.340 0.000
```

2.
Diffraction record for SmDy3C8. The powder diffractogram is simulated, not measured: it uses a structure optimized by DFT (PBE) and Cu Kα (λ = 1.5418 Å).

Main lines, most intense first (10° ≤ 2θ ≤ 90°):
Position (°2θ), Rel. int.
26.41, 100
29.27, 95
28.58, 92
47.53, 54
48.87, 47
52.74, 33
36.59, 32
38.78, 27
54.38, 18
77.81, 15

```
SmDy3C8
1.0
0.000 4.911 4.048
4.645 0.000 4.048
4.645 4.911 0.000
Sm Dy C
1 3 8
Direct
0.000 0.000 0.000
0.220 0.220 0.280
0.509 0.509 0.491
0.720 0.720 0.780
0.102 0.436 0.898
0.130 0.633 0.367
0.400 0.890 0.600
0.436 0.102 0.564
0.585 0.920 0.080
0.633 0.130 0.870
0.890 0.400 0.110
0.920 0.585 0.415
```